Theoretical powder XRD pattern
Compound: La2CeSi2S8I
Radiation: a wavelength of 1.5418 Å
Structure: a cell relaxed with PBE
Peak positions follow from Bragg's law for the DFT cell and can differ from measured ones.

Atomic structure:
a = 9.001 Å, b = 9.001 Å, c = 11.025 Å
α = 97.25°, β = 97.25°, γ = 52.69°
Sites, in units of the cell vectors:
La1 0.076 0.321 0.181
La2 0.321 0.076 0.681
La3 0.679 0.924 0.319
La4 0.924 0.679 0.819
Ce1 0.406 0.594 0.250
Ce2 0.594 0.406 0.750
Si1 0.303 0.378 0.471
Si2 0.378 0.303 0.971
Si3 0.622 0.697 0.029
Si4 0.697 0.622 0.529
S1 0.114 0.600 0.354
S2 0.152 0.286 0.915
S3 0.251 0.449 0.661
S4 0.279 0.583 0.957
S5 0.286 0.152 0.415
S6 0.400 0.886 0.146
S7 0.417 0.721 0.543
S8 0.449 0.251 0.161
S9 0.551 0.749 0.839
S10 0.583 0.279 0.457
S11 0.600 0.114 0.854
S12 0.714 0.848 0.585
S13 0.721 0.417 0.043
S14 0.749 0.551 0.339
S15 0.848 0.714 0.085
S16 0.886 0.400 0.646
I1 0.012 0.988 0.750
I2 0.988 0.012 0.250

Peak list (10 most intense, 10° ≤ 2θ ≤ 80°, in order of rising 2θ)
d/Å, 2θ (°), I (rel.)
5.458, 16.2, 100
4.236, 21.0, 39
3.994, 22.3, 40
3.751, 23.7, 67
3.463, 25.7, 62
3.079, 29.0, 43
2.802, 31.9, 77
2.475, 36.3, 48
2.416, 37.2, 51
2.347, 38.4, 40

Theoretical powder XRD pattern
Compound: MnCu2Sn3S8
Radiation: a wavelength of 1.5418 Å
Structure: a cell relaxed with PBE
Peak positions follow from Bragg's law for the DFT cell and can differ from measured ones.

Atomic structure:
a = 7.380 Å, b = 7.380 Å, c = 7.380 Å
α = 60.54°, β = 60.54°, γ = 60.54°
Sites, in units of the cell vectors:
Mn1 0.000 0.000 0.000
Cu1 0.381 0.381 0.381
Cu2 0.619 0.619 0.619
Sn1 0.000 0.000 0.500
Sn2 0.000 0.500 0.000
Sn3 0.500 0.000 0.000
S1 0.237 0.758 0.758
S2 0.242 0.242 0.763
S3 0.242 0.763 0.242
S4 0.251 0.251 0.251
S5 0.749 0.749 0.749
S6 0.758 0.237 0.758
S7 0.758 0.758 0.237
S8 0.763 0.242 0.242

Peak list (10 most intense, 10° ≤ 2θ ≤ 80°, in order of rising 2θ)
d/Å, 2θ (°), I (rel.)
6.001, 14.8, 22
3.690, 24.1, 19
3.167, 28.2, 100
3.143, 28.4, 26
2.620, 34.2, 58
2.022, 44.8, 13
2.017, 44.9, 18
1.860, 49.0, 46
1.845, 49.4, 44
1.310, 72.1, 14

Theoretical powder XRD pattern
Compound: SrAlF5
Radiation: a wavelength of 1.5418 Å
Structure: a cell relaxed with PBE
Peak positions follow from Bragg's law for the DFT cell and can differ from measured ones.

Atomic structure:
a = 9.071 Å, b = 7.548 Å, c = 13.641 Å
α = 90.00°, β = 127.24°, γ = 90.00°
Sites, in units of the cell vectors:
Sr1 0.180 0.221 0.362
Sr2 0.180 0.279 0.862
Sr3 0.259 0.722 0.538
Sr4 0.259 0.778 0.038
Sr5 0.741 0.222 0.962
Sr6 0.741 0.278 0.462
Sr7 0.820 0.721 0.138
Sr8 0.820 0.779 0.638
Al1 0.298 0.206 0.665
Al2 0.298 0.294 0.165
Al3 0.304 0.700 0.313
Al4 0.304 0.800 0.813
Al5 0.696 0.200 0.187
Al6 0.696 0.300 0.687
Al7 0.702 0.706 0.835
Al8 0.702 0.794 0.335
F1 0.077 0.218 0.637
F2 0.077 0.282 0.137
F3 0.117 0.738 0.152
F4 0.117 0.762 0.652
F5 0.152 0.565 0.332
F6 0.152 0.935 0.832
F7 0.226 0.607 0.852
F8 0.226 0.893 0.352
F9 0.229 0.054 0.542
F10 0.229 0.446 0.042
F11 0.244 0.109 0.064
F12 0.244 0.391 0.564
F13 0.363 0.008 0.771
F14 0.363 0.492 0.271
F15 0.401 0.169 0.305
F16 0.401 0.331 0.805
F17 0.457 0.688 0.786
F18 0.457 0.812 0.286
F19 0.488 0.682 0.475
F20 0.488 0.818 0.975
F21 0.512 0.182 0.025
F22 0.512 0.318 0.525
F23 0.543 0.188 0.714
F24 0.543 0.312 0.214
F25 0.599 0.669 0.195
F26 0.599 0.831 0.695
F27 0.637 0.508 0.729
F28 0.637 0.992 0.229
F29 0.756 0.609 0.436
F30 0.756 0.891 0.936
F31 0.771 0.554 0.958
F32 0.771 0.946 0.458
F33 0.774 0.107 0.648
F34 0.774 0.393 0.148
F35 0.848 0.065 0.168
F36 0.848 0.435 0.668
F37 0.883 0.238 0.348
F38 0.883 0.262 0.848
F39 0.923 0.718 0.863
F40 0.923 0.782 0.363

Peak list (10 most intense, 10° ≤ 2θ ≤ 80°, in order of rising 2θ)
d/Å, 2θ (°), I (rel.)
4.523, 19.6, 28
3.774, 23.6, 100
3.611, 24.7, 67
3.139, 28.4, 27
3.065, 29.1, 32
3.006, 29.7, 42
2.667, 33.6, 25
2.236, 40.3, 29
2.147, 42.1, 66
2.066, 43.8, 32

Theoretical powder XRD pattern
Compound: Co2Mo4C
Radiation: a wavelength of 1.5418 Å
Structure: a cell relaxed with PBE
Peak positions follow from Bragg's law for the DFT cell and can differ from measured ones.

Atomic structure:
a = 7.989 Å, b = 7.989 Å, c = 7.989 Å
α = 60.00°, β = 60.00°, γ = 60.00°
Sites, in units of the cell vectors:
Co1 0.119 0.794 0.794
Co2 0.206 0.206 0.206
Co3 0.206 0.206 0.881
Co4 0.206 0.881 0.206
Co5 0.794 0.119 0.794
Co6 0.794 0.794 0.119
Co7 0.794 0.794 0.794
Co8 0.881 0.206 0.206
Mo1 0.000 0.000 0.000
Mo2 0.000 0.000 0.500
Mo3 0.000 0.500 0.000
Mo4 0.187 0.187 0.563
Mo5 0.187 0.563 0.187
Mo6 0.187 0.563 0.563
Mo7 0.437 0.437 0.813
Mo8 0.437 0.813 0.437
Mo9 0.437 0.813 0.813
Mo10 0.500 0.000 0.000
Mo11 0.563 0.187 0.187
Mo12 0.563 0.187 0.563
Mo13 0.563 0.563 0.187
Mo14 0.813 0.437 0.437
Mo15 0.813 0.437 0.813
Mo16 0.813 0.813 0.437
C1 0.000 0.500 0.500
C2 0.500 0.000 0.500
C3 0.500 0.500 0.000
C4 0.500 0.500 0.500

Peak list (10 most intense, 10° ≤ 2θ ≤ 80°, in order of rising 2θ)
d/Å, 2θ (°), I (rel.)
2.592, 34.6, 25
2.306, 39.1, 40
2.174, 41.5, 100
1.997, 45.4, 29
1.883, 48.3, 6
1.703, 53.8, 8
1.380, 67.9, 9
1.332, 70.8, 36
1.305, 72.4, 10
1.240, 76.9, 4

Theoretical powder XRD pattern
Compound: Er2MgAl
Radiation: a wavelength of 1.5418 Å
Structure: a cell relaxed with PBE
Peak positions follow from Bragg's law for the DFT cell and can differ from measured ones.

Atomic structure:
a = 7.291 Å, b = 7.291 Å, c = 7.291 Å
α = 90.00°, β = 90.00°, γ = 90.00°
Sites, in units of the cell vectors:
Er1 0.250 0.250 0.250
Er2 0.250 0.250 0.750
Er3 0.250 0.750 0.250
Er4 0.250 0.750 0.750
Er5 0.750 0.250 0.250
Er6 0.750 0.250 0.750
Er7 0.750 0.750 0.250
Er8 0.750 0.750 0.750
Mg1 0.000 0.000 0.000
Mg2 0.000 0.500 0.500
Mg3 0.500 0.000 0.500
Mg4 0.500 0.500 0.000
Al1 0.000 0.000 0.500
Al2 0.000 0.500 0.000
Al3 0.500 0.000 0.000
Al4 0.500 0.500 0.500

Peak list (8 most intense, 10° ≤ 2θ ≤ 80°, in order of rising 2θ)
d/Å, 2θ (°), I (rel.)
3.646, 24.4, 64
2.578, 34.8, 100
2.105, 43.0, 20
1.823, 50.0, 18
1.630, 56.4, 27
1.488, 62.4, 37
1.289, 73.5, 11
1.215, 78.7, 13

Theoretical powder XRD pattern
Compound: Li6Si2O7
Radiation: a wavelength of 1.5418 Å
Structure: a cell relaxed with PBE
Peak positions follow from Bragg's law for the DFT cell and can differ from measured ones.

Atomic structure:
a = 7.769 Å, b = 7.769 Å, c = 4.906 Å
α = 90.00°, β = 90.00°, γ = 90.00°
Sites, in units of the cell vectors:
Li1 0.082 0.137 0.297
Li2 0.111 0.611 0.314
Li3 0.137 0.918 0.703
Li4 0.363 0.418 0.297
Li5 0.389 0.111 0.686
Li6 0.418 0.637 0.703
Li7 0.582 0.363 0.703
Li8 0.611 0.889 0.686
Li9 0.637 0.582 0.297
Li10 0.863 0.082 0.703
Li11 0.889 0.389 0.314
Li12 0.918 0.863 0.297
Si1 0.144 0.356 0.821
Si2 0.356 0.856 0.179
Si3 0.644 0.144 0.179
Si4 0.856 0.644 0.821
O1 0.000 0.500 0.683
O2 0.097 0.164 0.709
O3 0.131 0.369 0.154
O4 0.164 0.903 0.291
O5 0.336 0.403 0.709
O6 0.369 0.869 0.846
O7 0.403 0.664 0.291
O8 0.500 0.000 0.317
O9 0.597 0.336 0.291
O10 0.631 0.131 0.846
O11 0.664 0.597 0.709
O12 0.836 0.097 0.291
O13 0.869 0.631 0.154
O14 0.903 0.836 0.709

Peak list (10 most intense, 10° ≤ 2θ ≤ 80°, in order of rising 2θ)
d/Å, 2θ (°), I (rel.)
5.494, 16.1, 12
4.148, 21.4, 25
3.659, 24.3, 53
3.475, 25.6, 100
2.836, 31.6, 22
2.453, 36.6, 32
2.197, 41.1, 20
1.973, 46.0, 15
1.942, 46.8, 27
1.443, 64.6, 14

Theoretical powder XRD pattern
Compound: Cd2TeS
Radiation: a wavelength of 1.5418 Å
Structure: a cell relaxed with PBE
Peak positions follow from Bragg's law for the DFT cell and can differ from measured ones.

Atomic structure:
a = 4.442 Å, b = 4.442 Å, c = 7.270 Å
α = 90.00°, β = 90.00°, γ = 120.00°
Sites, in units of the cell vectors:
Cd1 0.000 0.000 0.000
Cd2 0.333 0.667 0.551
Te1 0.333 0.667 0.156
S1 0.000 0.000 0.647

Peak list (10 most intense, 10° ≤ 2θ ≤ 80°, in order of rising 2θ)
d/Å, 2θ (°), I (rel.)
3.847, 23.1, 100
3.635, 24.5, 46
3.400, 26.2, 72
2.642, 33.9, 63
2.221, 40.6, 77
2.050, 44.2, 70
1.895, 48.0, 43
1.700, 53.9, 16
1.507, 61.6, 25
1.247, 76.4, 27

Theoretical powder XRD pattern
Compound: Er3S3OF
Radiation: a wavelength of 1.5418 Å
Structure: a cell relaxed with PBE
Peak positions follow from Bragg's law for the DFT cell and can differ from measured ones.

Atomic structure:
a = 3.764 Å, b = 3.764 Å, c = 20.983 Å
α = 90.00°, β = 90.00°, γ = 90.00°
Sites, in units of the cell vectors:
Er1 0.000 0.000 0.000
Er2 0.000 0.000 0.314
Er3 0.000 0.000 0.686
Er4 0.500 0.500 0.186
Er5 0.500 0.500 0.500
Er6 0.500 0.500 0.814
S1 0.000 0.000 0.129
S2 0.000 0.000 0.500
S3 0.000 0.000 0.871
S4 0.500 0.500 0.000
S5 0.500 0.500 0.371
S6 0.500 0.500 0.629
O1 0.000 0.500 0.750
O2 0.500 0.000 0.250
F1 0.000 0.500 0.250
F2 0.500 0.000 0.750

Peak list (10 most intense, 10° ≤ 2θ ≤ 80°, in order of rising 2θ)
d/Å, 2θ (°), I (rel.)
3.497, 25.5, 33
3.314, 26.9, 100
2.802, 31.9, 19
2.661, 33.7, 58
2.345, 38.4, 23
2.118, 42.7, 46
1.882, 48.4, 26
1.657, 55.4, 16
1.648, 55.8, 16
1.636, 56.2, 28